Entry 1:
Calculated PXRD pattern of Pm3MnB7 for Cu Kα, from a cell relaxed with PBE.
No peak broadening, texture or thermal motion is included.

Most intense lines, 2θ from 10° to 90°, by intensity:
- 38.6 deg, d 2.331, I = 100
- 28.9 deg, d 3.087, I = 91
- 26.0 deg, d 3.430, I = 78
- 30.2 deg, d 2.959, I = 72
- 31.8 deg, d 2.812, I = 60
- 33.2 deg, d 2.700, I = 47

Structural model:
```
22
Lattice="1.755 -8.101 0.000 1.755 8.101 0.000 0.000 0.000 9.535" Properties=species:S:1:pos:R:3 pbc="T T T"
Pm 1.755 6.431 5.351
Pm 1.755 6.431 8.952
Pm 1.755 4.184 2.384
Pm 1.755 -4.184 7.152
Pm 1.755 -6.431 0.584
Pm 1.755 -6.431 4.184
Mn 1.755 7.192 2.384
Mn 1.755 -7.192 7.152
B 1.755 3.675 5.062
B 1.755 3.675 9.241
B 1.755 2.114 6.239
B 1.755 2.114 8.064
B 1.755 0.555 2.384
B 1.755 0.399 5.746
B 1.755 0.399 8.557
B 1.755 -0.399 0.979
B 1.755 -0.399 3.789
B 1.755 -0.555 7.152
B 1.755 -2.114 1.471
B 1.755 -2.114 3.297
B 1.755 -3.675 0.295
B 1.755 -3.675 4.473
```

***

Entry 2:
Calculated PXRD pattern of CsAsBr4 for Cu Kα, from a cell relaxed with PBE.
No peak broadening, texture or thermal motion is included.

Most intense lines, 2θ from 10° to 90°, by intensity:
- 31.1 deg, d 2.877, I = 100
- 27.8 deg, d 3.209, I = 69
- 27.7 deg, d 3.224, I = 40
- 13.4 deg, d 6.602, I = 39
- 34.9 deg, d 2.567, I = 36
- 28.6 deg, d 3.116, I = 30

Structural model:
```
12
Lattice="7.801 0.000 0.000 -3.489 6.997 0.000 -3.030 -2.959 9.348" Properties=species:S:1:pos:R:3 pbc="T T T"
Cs 0.577 -0.364 3.013
Cs 0.705 4.402 6.335
As 0.189 -0.098 7.676
As 1.093 4.136 1.673
Br -1.401 0.897 6.157
Br -0.979 3.255 2.834
Br -1.903 -1.133 9.342
Br -3.164 4.658 6.486
Br 4.446 -0.620 2.862
Br 3.185 5.172 0.007
Br 2.262 0.784 6.514
Br 2.683 3.142 3.191
```

***

Entry 3:
Calculated PXRD pattern of KNpSb2Au2 for Cu Kα, from a cell relaxed with PBE.
No peak broadening, texture or thermal motion is included.

Most intense lines, 2θ from 10° to 90°, by intensity:
- 29.4 deg, d 3.037, I = 100
- 38.3 deg, d 2.349, I = 64
- 36.9 deg, d 2.436, I = 33
- 49.0 deg, d 1.858, I = 30
- 39.6 deg, d 2.274, I = 22
- 63.9 deg, d 1.457, I = 21

Structural model:
```
6
Lattice="4.697 0.000 0.000 -2.349 4.068 0.000 0.000 0.000 9.125" Properties=species:S:1:pos:R:3 pbc="T T T"
K 0.000 0.000 0.000
Np 0.000 0.000 4.562
Sb 0.000 2.712 6.615
Sb 2.349 1.356 2.510
Au 0.000 2.712 2.886
Au 2.349 1.356 6.239
```